Entry 1:
Structure and calculated powder diffraction line list of AlCdGa (a GGA-PBE-relaxed structure; Cu Kα).
Intensities are scaled so that the largest is 100.

```
AlCdGa
1.0
2.9916 0.0000 0.0000
0.0921 5.7101 0.0000
0.1743 0.1408 6.9102
Al Cd Ga
2 2 2
direct
0.0000 0.0000 0.0000 Al
0.4908 0.1306 0.3278 Al
0.0022 0.6481 0.3183 Cd
0.5048 0.7787 0.6883 Cd
0.4880 0.4305 0.9952 Ga
0.9819 0.2757 0.6501 Ga
```

Largest 10 diffraction maxima, low angle first, 10° ≤ 2θ ≤ 90°:
| two_theta | d_spacing | intensity |
| --- | --- | --- |
| 15.52 | 5.709 | 51 |
| 20.38 | 4.358 | 32 |
| 29.96 | 2.983 | 31 |
| 34.23 | 2.619 | 100 |
| 35.71 | 2.514 | 95 |
| 36.69 | 2.450 | 90 |
| 39.11 | 2.303 | 70 |
| 40.58 | 2.223 | 63 |
| 42.94 | 2.106 | 54 |
| 43.52 | 2.079 | 62 |

---

Entry 2:
Structure and calculated powder diffraction line list of AlCdGa4 (a GGA-PBE-relaxed structure; Cu Kα).
Intensities are scaled so that the largest is 100.

```
AlCdGa4
1.0
1.5712 -7.4670 0.0000
1.5712 7.4670 0.0000
0.0000 0.0000 9.8046
Al Cd Ga
2 2 8
direct
0.1590 0.8410 0.5000 Al
0.8410 0.1590 0.0000 Al
0.2877 0.7123 0.2561 Cd
0.7123 0.2877 0.7561 Cd
0.0440 0.9560 0.7532 Ga
0.1698 0.8302 0.0130 Ga
0.3860 0.6140 0.7601 Ga
0.4956 0.5044 0.5067 Ga
0.5044 0.4956 0.0067 Ga
0.6140 0.3860 0.2601 Ga
0.8302 0.1698 0.5130 Ga
0.9560 0.0440 0.2532 Ga
```

Largest 10 diffraction maxima, low angle first, 10° ≤ 2θ ≤ 90°:
| two_theta | d_spacing | intensity |
| --- | --- | --- |
| 34.99 | 2.565 | 47 |
| 36.66 | 2.451 | 48 |
| 37.27 | 2.412 | 31 |
| 38.54 | 2.336 | 100 |
| 40.65 | 2.219 | 19 |
| 43.91 | 2.062 | 25 |
| 45.83 | 1.980 | 17 |
| 63.39 | 1.467 | 16 |
| 67.26 | 1.392 | 19 |
| 75.52 | 1.259 | 18 |